Computed X-ray diffraction stick pattern
Compound: TmMnAs2O8
Radiation: λ = 1.5418 Å (Cu Kα)
Structure: a GGA+U-relaxed structure
Intensities are scaled so that the largest is 100.

Structure:
abc: 5.8283 5.8283 5.8283
angles: 107.16 107.16 114.21
Sites, in units of the cell vectors:
Tm 0.0000 0.0000 0.0000
Mn 0.2500 0.7500 0.5000
As 0.5000 0.5000 0.0000
As 0.7500 0.2500 0.5000
O 0.3176 0.1314 0.8138
O 0.3176 0.5037 0.1862
O 0.3856 0.0702 0.3154
O 0.4963 0.6824 0.8138
O 0.7548 0.0702 0.6846
O 0.8686 0.6824 0.1862
O 0.9298 0.2452 0.3154
O 0.9298 0.6144 0.6846

Most intense lines, 2θ = 10–90°, by angle:
| 2θ (°) | intensity |
| --- | --- |
| 18.13 | 16.6 |
| 19.00 | 20.8 |
| 25.75 | 100.0 |
| 33.72 | 72.8 |
| 36.73 | 20.2 |
| 50.71 | 60.8 |
| 52.92 | 15.7 |
| 59.76 | 13.3 |
| 64.24 | 18.0 |
| 76.34 | 12.8 |